# 1
Diffraction record for Sr2VN2. The powder XRD pattern is simulated, not measured: it uses a structure optimized by DFT (GGA-PBE) and Cu Kα (λ = 1.5418 Å).
Neutral-atom scattering factors, no anomalous dispersion.

Peak list (6 most intense, 10° ≤ 2θ ≤ 90°, in order of rising 2θ)
2θ (°)	I (rel.)
27.83	589
29.48	837
31.89	602
33.45	480
33.93	1000
38.18	393

Atomic structure:
Lattice parameters (Å, degrees): 6.364 6.364 12.905 90.00 90.00 130.92
Sites, in units of the cell vectors:
Sr 0.042 0.958 0.852
Sr 0.149 0.851 0.441
Sr 0.351 0.649 0.941
Sr 0.458 0.542 0.352
Sr 0.542 0.458 0.648
Sr 0.649 0.351 0.059
Sr 0.851 0.149 0.559
Sr 0.958 0.042 0.148
V 0.231 0.769 0.679
V 0.269 0.731 0.179
V 0.731 0.269 0.821
V 0.769 0.231 0.321
N 0.084 0.916 0.639
N 0.168 0.832 0.076
N 0.332 0.668 0.576
N 0.416 0.584 0.139
N 0.584 0.416 0.861
N 0.668 0.332 0.424
N 0.832 0.168 0.924
N 0.916 0.084 0.361

# 2
Diffraction record for Sr3V3N5. The powder XRD pattern is simulated, not measured: it uses a structure optimized by DFT (GGA-PBE) and Cu Kα (λ = 1.5418 Å).
Neutral-atom scattering factors, no anomalous dispersion.

Peak list (6 most intense, 10° ≤ 2θ ≤ 90°, in order of rising 2θ)
2θ (°)	I (rel.)
29.66	769
31.45	877
32.08	879
32.40	920
33.61	1000
36.67	440

Atomic structure:
Lattice parameters (Å, degrees): 5.815 7.636 8.601 109.84 104.32 99.46
Sites, in units of the cell vectors:
Sr 0.154 0.347 0.391
Sr 0.178 0.188 0.729
Sr 0.262 0.931 0.099
Sr 0.738 0.069 0.901
Sr 0.822 0.812 0.271
Sr 0.846 0.653 0.609
V 0.185 0.489 0.102
V 0.406 0.817 0.469
V 0.419 0.625 0.803
V 0.581 0.375 0.197
V 0.594 0.183 0.531
V 0.815 0.511 0.898
N 0.155 0.560 0.892
N 0.244 0.237 0.042
N 0.267 0.016 0.418
N 0.324 0.735 0.641
N 0.481 0.601 0.314
N 0.519 0.399 0.686
N 0.676 0.265 0.359
N 0.733 0.984 0.582
N 0.756 0.763 0.958
N 0.845 0.440 0.108

# 3
Diffraction record for Sr3V2N4. The powder XRD pattern is simulated, not measured: it uses a structure optimized by DFT (GGA-PBE) and Cu Kα (λ = 1.5418 Å).
Neutral-atom scattering factors, no anomalous dispersion.

Peak list (6 most intense, 10° ≤ 2θ ≤ 90°, in order of rising 2θ)
2θ (°)	I (rel.)
27.88	554
31.44	1000
32.66	358
32.84	167
35.67	490
36.33	314

Atomic structure:
Lattice parameters (Å, degrees): 5.917 10.164 9.746 90.00 90.00 90.00
Sites, in units of the cell vectors:
Sr 0.116 0.157 0.082
Sr 0.116 0.343 0.418
Sr 0.250 0.000 0.403
Sr 0.250 0.500 0.097
Sr 0.384 0.657 0.418
Sr 0.384 0.843 0.082
Sr 0.616 0.157 0.918
Sr 0.616 0.343 0.582
Sr 0.750 0.000 0.597
Sr 0.750 0.500 0.903
Sr 0.884 0.657 0.582
Sr 0.884 0.843 0.918
V 0.150 0.250 0.750
V 0.250 0.000 0.737
V 0.250 0.500 0.763
V 0.350 0.750 0.750
V 0.650 0.250 0.250
V 0.750 0.000 0.263
V 0.750 0.500 0.237
V 0.850 0.750 0.250
N 0.016 0.086 0.834
N 0.016 0.414 0.666
N 0.152 0.647 0.868
N 0.152 0.853 0.632
N 0.348 0.147 0.632
N 0.348 0.353 0.868
N 0.484 0.586 0.666
N 0.484 0.914 0.834
N 0.516 0.086 0.166
N 0.516 0.414 0.334
N 0.652 0.647 0.132
N 0.652 0.853 0.368
N 0.848 0.147 0.368
N 0.848 0.353 0.132
N 0.984 0.586 0.334
N 0.984 0.914 0.166

# 4
Diffraction record for Sr3VN3. The powder XRD pattern is simulated, not measured: it uses a structure optimized by DFT (GGA-PBE) and Cu Kα (λ = 1.5418 Å).
Neutral-atom scattering factors, no anomalous dispersion.

Peak list (6 most intense, 10° ≤ 2θ ≤ 90°, in order of rising 2θ)
2θ (°)	I (rel.)
28.33	977
31.36	1000
33.21	646
35.33	745
49.27	545
62.65	247

Atomic structure:
Lattice parameters (Å, degrees): 7.762 7.762 5.395 90.00 90.00 120.00
Sites, in units of the cell vectors:
Sr 0.095 0.370 0.250
Sr 0.274 0.905 0.250
Sr 0.370 0.274 0.750
Sr 0.630 0.726 0.250
Sr 0.726 0.095 0.750
Sr 0.905 0.630 0.750
V 0.333 0.667 0.750
V 0.667 0.333 0.250
N 0.124 0.414 0.750
N 0.289 0.876 0.750
N 0.414 0.289 0.250
N 0.586 0.711 0.750
N 0.711 0.124 0.250
N 0.876 0.586 0.250

# 5
Diffraction record for Sr3W2N4. The powder XRD pattern is simulated, not measured: it uses a structure optimized by DFT (GGA-PBE) and Cu Kα (λ = 1.5418 Å).
Neutral-atom scattering factors, no anomalous dispersion.

Peak list (6 most intense, 10° ≤ 2θ ≤ 90°, in order of rising 2θ)
2θ (°)	I (rel.)
17.27	558
17.98	356
30.97	1000
32.14	330
38.19	263
38.53	252

Atomic structure:
Lattice parameters (Å, degrees): 6.011 10.610 9.870 90.00 90.00 90.00
Sites, in units of the cell vectors:
Sr 0.120 0.159 0.081
Sr 0.120 0.341 0.419
Sr 0.250 0.000 0.399
Sr 0.250 0.500 0.101
Sr 0.380 0.659 0.419
Sr 0.380 0.841 0.081
Sr 0.620 0.159 0.919
Sr 0.620 0.341 0.581
Sr 0.750 0.000 0.601
Sr 0.750 0.500 0.899
Sr 0.880 0.659 0.581
Sr 0.880 0.841 0.919
W 0.120 0.250 0.750
W 0.250 0.000 0.736
W 0.250 0.500 0.764
W 0.380 0.750 0.750
W 0.620 0.250 0.250
W 0.750 0.000 0.264
W 0.750 0.500 0.236
W 0.880 0.750 0.250
N 0.009 0.083 0.839
N 0.009 0.417 0.661
N 0.170 0.653 0.873
N 0.170 0.847 0.627
N 0.330 0.153 0.627
N 0.330 0.347 0.873
N 0.491 0.583 0.661
N 0.491 0.917 0.839
N 0.509 0.083 0.161
N 0.509 0.417 0.339
N 0.670 0.653 0.127
N 0.670 0.847 0.373
N 0.830 0.153 0.373
N 0.830 0.347 0.127
N 0.991 0.583 0.339
N 0.991 0.917 0.161

# 6
Diffraction record for Sr3WN3. The powder XRD pattern is simulated, not measured: it uses a structure optimized by DFT (GGA-PBE) and Cu Kα (λ = 1.5418 Å).
Neutral-atom scattering factors, no anomalous dispersion.

Peak list (6 most intense, 10° ≤ 2θ ≤ 90°, in order of rising 2θ)
2θ (°)	I (rel.)
12.81	273
20.91	312
25.78	269
27.82	246
30.74	1000
33.28	352

Atomic structure:
Lattice parameters (Å, degrees): 7.982 7.982 5.384 90.00 90.00 120.00
Sites, in units of the cell vectors:
Sr 0.098 0.352 0.250
Sr 0.254 0.902 0.250
Sr 0.352 0.254 0.750
Sr 0.648 0.746 0.250
Sr 0.746 0.098 0.750
Sr 0.902 0.648 0.750
W 0.333 0.667 0.750
W 0.667 0.333 0.250
N 0.117 0.418 0.750
N 0.301 0.883 0.750
N 0.418 0.301 0.250
N 0.582 0.699 0.750
N 0.699 0.117 0.250
N 0.883 0.582 0.250

# 7
Diffraction record for Sr3W2N4. The powder XRD pattern is simulated, not measured: it uses a structure optimized by DFT (GGA-PBE) and Cu Kα (λ = 1.5418 Å).
Neutral-atom scattering factors, no anomalous dispersion.

Peak list (6 most intense, 10° ≤ 2θ ≤ 90°, in order of rising 2θ)
2θ (°)	I (rel.)
14.96	325
28.91	520
29.61	1000
33.40	289
39.37	370
40.26	261

Atomic structure:
Lattice parameters (Å, degrees): 7.426 7.426 5.758 91.03 91.03 74.22
Sites, in units of the cell vectors:
Sr 0.103 0.897 0.750
Sr 0.254 0.512 0.476
Sr 0.488 0.746 0.024
Sr 0.512 0.254 0.976
Sr 0.746 0.488 0.524
Sr 0.897 0.103 0.250
W 0.073 0.327 0.906
W 0.327 0.073 0.406
W 0.673 0.927 0.594
W 0.927 0.673 0.094
N 0.109 0.232 0.583
N 0.195 0.541 0.991
N 0.232 0.109 0.083
N 0.459 0.805 0.509
N 0.541 0.195 0.491
N 0.768 0.891 0.917
N 0.805 0.459 0.009
N 0.891 0.768 0.417

# 8
Diffraction record for Sr3Y3N5. The powder XRD pattern is simulated, not measured: it uses a structure optimized by DFT (GGA-PBE) and Cu Kα (λ = 1.5418 Å).
Neutral-atom scattering factors, no anomalous dispersion.

Peak list (6 most intense, 10° ≤ 2θ ≤ 90°, in order of rising 2θ)
2θ (°)	I (rel.)
27.81	220
28.92	534
29.47	1000
29.63	244
33.11	225
51.61	221

Atomic structure:
Lattice parameters (Å, degrees): 6.649 8.130 9.493 106.24 108.68 99.98
Sites, in units of the cell vectors:
Sr 0.170 0.110 0.203
Sr 0.192 0.320 0.880
Sr 0.295 0.937 0.587
Sr 0.705 0.063 0.413
Sr 0.808 0.680 0.120
Sr 0.830 0.890 0.797
Y 0.237 0.459 0.568
Y 0.317 0.628 0.270
Y 0.370 0.799 0.955
Y 0.630 0.201 0.045
Y 0.683 0.372 0.730
Y 0.763 0.541 0.432
N 0.075 0.599 0.390
N 0.186 0.781 0.115
N 0.278 0.015 0.864
N 0.366 0.211 0.506
N 0.488 0.415 0.180
N 0.512 0.585 0.820
N 0.634 0.789 0.494
N 0.722 0.985 0.136
N 0.814 0.219 0.885
N 0.925 0.401 0.610